# 1
Simulated PXRD pattern of SrMgHg6 for Cu Kα, from a cell relaxed with GGA-PBE.
No peak broadening, texture or thermal motion is included.

Cell and atoms:
Unit cell a=4.626 b=4.626 c=10.340 alpha=90.00 beta=90.00 gamma=90.00
Space group P4/mmm (No. 123)
Asymmetric unit:
Sr  0.000  0.000  0.000 (multiplicity 1)
Mg  0.000  0.000  0.500 (multiplicity 1)
Hg  0.000  0.500  0.330 (multiplicity 4)
Hg  0.500  0.500  0.139 (multiplicity 2)

Most intense lines, 2θ from 10° to 90°, in order of rising 2θ:
25.8 deg, rel. 229, (0 0 3)
28.6 deg, rel. 874, (1 1 1)
32.4 deg, rel. 507, (1 1 2)
37.9 deg, rel. 1000, (1 1 3)
38.9 deg, rel. 683, (2 0 0)
56.2 deg, rel. 237, (2 2 0)
67.8 deg, rel. 253, (2 0 6)
69.9 deg, rel. 425, (3 1 3)

# 2
Simulated PXRD pattern of Sr3MgHg7 for Cu Kα, from a cell relaxed with GGA-PBE.
No peak broadening, texture or thermal motion is included.

Cell and atoms:
Unit cell a=4.173 b=22.422 c=14.207 alpha=90.00 beta=90.00 gamma=90.00
Space group Cmcm (No. 63)
Asymmetric unit:
Sr  0.000  0.094  0.046 (multiplicity 8)
Sr  0.000  0.249  0.750 (multiplicity 4)
Mg  0.000  0.054  0.750 (multiplicity 4)
Hg  0.000  0.292  0.535 (multiplicity 8)
Hg  0.000  0.355  0.147 (multiplicity 8)
Hg  0.000  0.404  0.750 (multiplicity 4)
Hg  0.000  0.486  0.113 (multiplicity 8)

Most intense lines, 2θ from 10° to 90°, in order of rising 2θ:
21.7 deg, rel. 1000, (1 1 0)
31.0 deg, rel. 524, (1 3 3)
31.9 deg, rel. 897, (1 5 2)
32.5 deg, rel. 997, (0 2 5)
34.8 deg, rel. 470, (0 6 4)
38.5 deg, rel. 543, (1 1 5)
43.8 deg, rel. 522, (1 7 4)
55.2 deg, rel. 452, (2 2 5)

# 3
Simulated PXRD pattern of SrMg9Hg3 for Cu Kα, from a cell relaxed with GGA-PBE.
No peak broadening, texture or thermal motion is included.

Cell and atoms:
Unit cell a=6.016 b=14.363 c=7.758 alpha=90.00 beta=112.14 gamma=90.00
Space group C2/m (No. 12)
Asymmetric unit:
Sr  0.000  0.000  0.000 (multiplicity 2)
Mg  0.000  0.000  0.500 (multiplicity 2)
Mg  0.103  0.390  0.216 (multiplicity 8)
Mg  0.172  0.178  0.348 (multiplicity 8)
Hg  0.000  0.500  0.500 (multiplicity 2)
Hg  0.250  0.250  0.000 (multiplicity 4)

Most intense lines, 2θ from 10° to 90°, in order of rising 2θ:
12.3 deg, rel. 290, (0 0 1)
17.5 deg, rel. 1000, (0 2 1)
24.8 deg, rel. 636, (0 4 0)
34.5 deg, rel. 455, (2 2 0)
34.8 deg, rel. 447, (2 2 -2)
35.3 deg, rel. 594, (0 4 2)
39.1 deg, rel. 247, (2 4 -1)
39.7 deg, rel. 441, (0 2 3)